The following is a calculated powder diffraction line list of Cs2V3CuF12. It was derived from a crystal structure in Alexandria, relaxed with GGA+U, using Cu Kα X-rays.
Intensities are scaled so that the largest is 1000.

Cell and atoms:
Cell lengths 7.521, 7.521, 7.521 Å; angles 60.51, 60.51, 60.51 degrees
Fractional positions:
1 Cs 0.125 0.125 0.125
2 Cs 0.875 0.875 0.875
3 V 0.000 0.500 0.500
4 V 0.500 0.000 0.500
5 V 0.500 0.500 0.000
6 Cu 0.500 0.500 0.500
7 F 0.150 0.581 0.581
8 F 0.190 0.190 0.579
9 F 0.190 0.579 0.190
10 F 0.419 0.419 0.850
11 F 0.419 0.850 0.419
12 F 0.421 0.810 0.810
13 F 0.579 0.190 0.190
14 F 0.581 0.150 0.581
15 F 0.581 0.581 0.150
16 F 0.810 0.421 0.810
17 F 0.810 0.810 0.421
18 F 0.850 0.419 0.419

Most intense lines, 10 to 90 degrees two-theta, sorted by position:
d/Å  I (rel.)
3.790  259
3.760  223
3.224  1000
3.204  304
3.090  143
2.060  232
1.895  278
1.880  212
1.684  120
1.394  159